Record 1
The following is a theoretical powder XRD pattern of Ca3NbGa3Si2O14. It was derived from DFT lattice parameters and positions (GGA-PBE), using a wavelength of 1.5418 Å.
Intensities are scaled so that the largest is 100.

Crystal structure
a b c (Å): 8.206 8.206 5.031
angles (deg): 90.00 90.00 120.00
Fractional coordinates of all 23 atoms:
Ca1 0.000 0.577 0.000
Ca2 0.423 0.423 0.000
Ca3 0.577 0.000 0.000
Nb1 0.000 0.000 0.000
Ga1 0.000 0.257 0.500
Ga2 0.257 0.000 0.500
Ga3 0.743 0.743 0.500
Si1 0.333 0.667 0.550
Si2 0.667 0.333 0.450
O1 0.085 0.858 0.237
O2 0.142 0.226 0.237
O3 0.155 0.478 0.691
O4 0.226 0.142 0.763
O5 0.324 0.845 0.691
O6 0.333 0.667 0.230
O7 0.478 0.155 0.309
O8 0.522 0.676 0.691
O9 0.667 0.333 0.770
O10 0.676 0.522 0.309
O11 0.774 0.915 0.237
O12 0.845 0.324 0.309
O13 0.858 0.085 0.763
O14 0.915 0.774 0.763

Largest 10 diffraction maxima, by angle, 2θ = 5–70°:
d 7.107, 2θ 12.46, I = 61; d 4.104, 2θ 21.66, I = 26; d 3.180, 2θ 28.06, I = 100; d 2.902, 2θ 30.81, I = 99; d 2.686, 2θ 33.36, I = 21; d 2.370, 2θ 37.97, I = 84; d 1.836, 2θ 49.66, I = 42; d 1.725, 2θ 53.11, I = 22; d 1.551, 2θ 59.60, I = 61; d 1.422, 2θ 65.64, I = 17



Record 2
The following is a theoretical powder XRD pattern of Mo2Ir9Ru. It was derived from DFT lattice parameters and positions (GGA-PBE), using a wavelength of 1.5418 Å.
Intensities are scaled so that the largest is 100.

Crystal structure
a b c (Å): 4.758 6.152 6.724
angles (deg): 68.39 89.82 74.90
Fractional coordinates of all 12 atoms:
Mo1 0.087 0.239 0.088
Mo2 0.913 0.761 0.912
Ir1 0.166 0.501 0.670
Ir2 0.246 0.748 0.246
Ir3 0.330 0.999 0.833
Ir4 0.415 0.246 0.416
Ir5 0.500 0.500 0.000
Ir6 0.585 0.754 0.584
Ir7 0.670 0.001 0.167
Ir8 0.754 0.252 0.754
Ir9 0.834 0.499 0.330
Ru1 0.000 0.000 0.500

Largest 10 diffraction maxima, by angle, 2θ = 5–70°:
d 5.218, 2θ 16.99, I = 1; d 4.569, 2θ 19.43, I = 2; d 3.788, 2θ 23.48, I = 2; d 3.110, 2θ 28.71, I = 1; d 2.242, 2θ 40.22, I = 100; d 1.947, 2θ 46.65, I = 16; d 1.939, 2θ 46.85, I = 32; d 1.374, 2θ 68.27, I = 21; d 1.372, 2θ 68.35, I = 5; d 1.370, 2θ 68.49, I = 5



Record 3
The following is a theoretical powder XRD pattern of PaBe13. It was derived from DFT lattice parameters and positions (GGA-PBE), using a wavelength of 1.5418 Å.
Intensities are scaled so that the largest is 100.

Crystal structure
a b c (Å): 7.220 7.220 7.220
angles (deg): 60.00 60.00 60.00
Fractional coordinates of all 28 atoms:
Pa1 0.250 0.250 0.250
Pa2 0.750 0.750 0.750
Be1 0.000 0.000 0.000
Be2 0.060 0.291 0.709
Be3 0.060 0.709 0.940
Be4 0.060 0.940 0.291
Be5 0.209 0.440 0.791
Be6 0.209 0.560 0.440
Be7 0.209 0.791 0.560
Be8 0.291 0.060 0.940
Be9 0.291 0.709 0.060
Be10 0.291 0.940 0.709
Be11 0.440 0.209 0.560
Be12 0.440 0.560 0.791
Be13 0.440 0.791 0.209
Be14 0.500 0.500 0.500
Be15 0.560 0.209 0.791
Be16 0.560 0.440 0.209
Be17 0.560 0.791 0.440
Be18 0.709 0.060 0.291
Be19 0.709 0.291 0.940
Be20 0.709 0.940 0.060
Be21 0.791 0.209 0.440
Be22 0.791 0.440 0.560
Be23 0.791 0.560 0.209
Be24 0.940 0.060 0.709
Be25 0.940 0.291 0.060
Be26 0.940 0.709 0.291

Largest 10 diffraction maxima, by angle, 2θ = 5–70°:
d 5.105, 2θ 17.37, I = 96; d 3.610, 2θ 24.66, I = 100; d 2.947, 2θ 30.33, I = 43; d 2.552, 2θ 35.16, I = 22; d 2.283, 2θ 39.47, I = 69; d 2.084, 2θ 43.42, I = 57; d 1.702, 2θ 53.88, I = 26; d 1.614, 2θ 57.05, I = 25; d 1.539, 2θ 60.11, I = 18; d 1.364, 2θ 68.81, I = 28



Record 4
The following is a theoretical powder XRD pattern of Ce3PbI3. It was derived from DFT lattice parameters and positions (GGA-PBE), using a wavelength of 1.5418 Å.
Intensities are scaled so that the largest is 100.

Crystal structure
a b c (Å): 11.130 11.130 11.103
angles (deg): 109.44 109.44 109.63
Fractional coordinates of all 28 atoms:
Ce1 0.000 0.000 0.000
Ce2 0.000 0.236 0.745
Ce3 0.008 0.495 0.494
Ce4 0.009 0.750 0.258
Ce5 0.245 0.244 0.497
Ce6 0.250 0.991 0.742
Ce7 0.252 0.497 0.256
Ce8 0.503 0.748 0.744
Ce9 0.505 0.992 0.506
Ce10 0.756 0.755 0.503
Ce11 0.758 0.242 0.000
Ce12 0.764 0.000 0.255
Pb1 0.004 0.246 0.249
Pb2 0.005 0.995 0.500
Pb3 0.254 0.746 0.500
Pb4 0.754 0.996 0.751
I1 0.003 0.739 0.755
I2 0.005 0.502 0.994
I3 0.260 0.503 0.763
I4 0.261 0.997 0.245
I5 0.267 0.252 0.006
I6 0.497 0.740 0.237
I7 0.498 0.995 0.006
I8 0.510 0.259 0.756
I9 0.511 0.489 0.500
I10 0.741 0.490 0.244
I11 0.748 0.252 0.500
I12 0.748 0.733 0.994

Largest 10 diffraction maxima, by angle, 2θ = 5–70°:
d 9.076, 2θ 9.74, I = 24; d 4.059, 2θ 21.90, I = 9; d 3.209, 2θ 27.80, I = 100; d 2.518, 2θ 35.66, I = 6; d 2.270, 2θ 39.71, I = 64; d 2.266, 2θ 39.78, I = 13; d 1.855, 2θ 49.12, I = 14; d 1.850, 2θ 49.24, I = 14; d 1.604, 2θ 57.43, I = 13; d 1.435, 2θ 65.01, I = 29